Diffraction record for Sc2Al4Os. The X-ray powder pattern is theoretical, not measured: it uses DFT lattice parameters and positions (PBE) and Cu Kα X-rays.
Lines closer than 0.1° are merged.

Atomic structure:
```
data_Sc2Al4Os
_space_group_name_H-M_alt 'I 4/m m m'
_space_group_IT_number 139
_space_group_name_Hall '-I 4 2'
_cell_length_a 4.6228
_cell_length_b 4.6228
_cell_length_c 14.0662
_cell_angle_alpha 90.00
_cell_angle_beta 90.00
_cell_angle_gamma 90.00
loop_
_atom_site_label
_atom_site_type_symbol
_atom_site_fract_x
_atom_site_fract_y
_atom_site_fract_z
_atom_site_occupancy
Sc1 Sc 0.0000 0.0000 0.1301 1
Al1 Al 0.0000 0.0000 0.3235 1
Al2 Al 0.0000 0.5000 0.0000 1
Os1 Os 0.0000 0.0000 0.5000 1
```

Largest 12 diffraction maxima, in order of rising 2θ, 2θ from 10° to 90°:
hkl 0 0 2, 12.59 deg, d 7.033, I = 100
hkl 1 0 1, 20.22 deg, d 4.392, I = 72
hkl 1 0 3, 27.09 deg, d 3.292, I = 68
hkl 1 1 0, 27.28 deg, d 3.269, I = 63
hkl 1 0 5, 37.42 deg, d 2.403, I = 55
hkl 2 0 0, 38.97 deg, d 2.311, I = 46
hkl 2 0 2, 41.11 deg, d 2.196, I = 22
hkl 2 1 1, 44.28 deg, d 2.045, I = 20
hkl 2 1 3, 48.10 deg, d 1.892, I = 28
hkl 2 1 5, 55.13 deg, d 1.666, I = 35
hkl 2 0 6, 55.86 deg, d 1.646, I = 21
hkl 3 1 0, 63.62 deg, d 1.463, I = 17